(1)
Simulated PXRD pattern
Compound: Mg6Cd5Sb
Radiation: copper Kα
Structure: a DFT-relaxed cell (PBE, Alexandria)
No peak broadening, texture or thermal motion is included.

Principal peaks in the range 2θ = 10–80°, by angle:
d (Å), Rel. int., index
4.265, 100, 1 0 -1
3.307, 54, 0 2 1
3.156, 47, 1 0 2
2.631, 72, 1 2 0
2.596, 69, -1 2 2
2.541, 65, 2 0 1
2.533, 64, 0 0 3
2.288, 48, 1 -2 1
2.279, 47, 1 2 3
2.133, 39, 2 0 -2

Crystal structure
```
data_Mg6Cd5Sb
_symmetry_space_group_name_H-M 'P -1'
_symmetry_Int_Tables_number 2
_symmetry_space_group_name_Hall '-P 1'
_cell_length_a 5.3152
_cell_length_b 6.6145
_cell_length_c 8.2612
_cell_angle_alpha 67.03
_cell_angle_beta 87.48
_cell_angle_gamma 89.49
loop_
_atom_site_label
_atom_site_fract_x
_atom_site_fract_y
_atom_site_fract_z
Mg1 0.0007 0.2486 0.0009
Mg2 0.3302 0.5831 0.3377
Mg3 0.3317 0.0811 0.3371
Cd1 0.1556 0.6699 0.6598
Cd2 0.1675 0.1634 0.6726
Cd3 0.5000 0.0000 0.0000
Sb1 0.5000 0.5000 0.0000
```

(2)
Simulated PXRD pattern
Compound: BeCl2
Radiation: copper Kα
Structure: a DFT-relaxed cell (PBE, Alexandria)
No peak broadening, texture or thermal motion is included.

Principal peaks in the range 2θ = 10–80°, by angle:
d (Å), Rel. int., index
5.985, 35, 1 1 2
3.871, 41, 2 1 3
3.320, 18, 3 1 2
2.992, 100, 2 2 4
2.822, 19, 4 0 0
2.778, 15, 3 2 3
2.707, 25, 4 1 1
2.368, 19, 3 2 5
2.262, 18, 0 0 8
1.879, 11, 4 1 7

Crystal structure
```
data_BeCl2
_symmetry_space_group_name_H-M 'I 41/a c d'
_symmetry_Int_Tables_number 142
_cell_length_a 11.2865
_cell_length_b 11.2865
_cell_length_c 18.0943
_cell_angle_alpha 90.00
_cell_angle_beta 90.00
_cell_angle_gamma 90.00
loop_
_symmetry_equiv_pos_as_xyz
'x,y,z'
'-x,-y,-z'
'-y+1/4,x+3/4,z+1/4'
'y+1/4,-x+3/4,-z+1/4'
'-x+1/2,-y,z+1/2'
'x+1/2,y,-z+1/2'
'y+1/4,-x+1/4,z+3/4'
'-y+1/4,x+1/4,-z+3/4'
'x,-y,-z+1/2'
'-x,y,z+1/2'
'-y+1/4,-x+1/4,-z+1/4'
'y+1/4,x+1/4,z+1/4'
'-x+1/2,y,-z'
'x+1/2,-y,z'
'y+1/4,x+3/4,-z+3/4'
'-y+1/4,-x+3/4,z+3/4'
'x+1/2,y+1/2,z+1/2'
'-x+1/2,-y+1/2,-z+1/2'
'-y+3/4,x+1/4,z+3/4'
'y+3/4,-x+1/4,-z+3/4'
'-x,-y+1/2,z'
'x,y+1/2,-z'
'y+3/4,-x+3/4,z+1/4'
'-y+3/4,x+3/4,-z+1/4'
'x+1/2,-y+1/2,-z'
'-x+1/2,y+1/2,z'
'-y+3/4,-x+3/4,-z+3/4'
'y+3/4,x+3/4,z+3/4'
'-x,y+1/2,-z+1/2'
'x,-y+1/2,z+1/2'
'y+3/4,x+1/4,-z+1/4'
'-y+3/4,-x+1/4,z+1/4'
loop_
_atom_site_label
_atom_site_fract_x
_atom_site_fract_y
_atom_site_fract_z
Be1 0.0732 0.1240 0.3113
Cl1 0.0000 0.2500 0.0058
Cl2 0.0519 0.0461 0.8753
Cl3 0.1604 0.0000 0.2500
```

Repeat the second record exactly.
Simulated PXRD pattern
Compound: BeCl2
Radiation: copper Kα
Structure: a DFT-relaxed cell (PBE, Alexandria)
No peak broadening, texture or thermal motion is included.

Principal peaks in the range 2θ = 10–80°, by angle:
d (Å), Rel. int., index
5.985, 35, 1 1 2
3.871, 41, 2 1 3
3.320, 18, 3 1 2
2.992, 100, 2 2 4
2.822, 19, 4 0 0
2.778, 15, 3 2 3
2.707, 25, 4 1 1
2.368, 19, 3 2 5
2.262, 18, 0 0 8
1.879, 11, 4 1 7

Crystal structure
```
data_BeCl2
_symmetry_space_group_name_H-M 'I 41/a c d'
_symmetry_Int_Tables_number 142
_cell_length_a 11.2865
_cell_length_b 11.2865
_cell_length_c 18.0943
_cell_angle_alpha 90.00
_cell_angle_beta 90.00
_cell_angle_gamma 90.00
loop_
_symmetry_equiv_pos_as_xyz
'x,y,z'
'-x,-y,-z'
'-y+1/4,x+3/4,z+1/4'
'y+1/4,-x+3/4,-z+1/4'
'-x+1/2,-y,z+1/2'
'x+1/2,y,-z+1/2'
'y+1/4,-x+1/4,z+3/4'
'-y+1/4,x+1/4,-z+3/4'
'x,-y,-z+1/2'
'-x,y,z+1/2'
'-y+1/4,-x+1/4,-z+1/4'
'y+1/4,x+1/4,z+1/4'
'-x+1/2,y,-z'
'x+1/2,-y,z'
'y+1/4,x+3/4,-z+3/4'
'-y+1/4,-x+3/4,z+3/4'
'x+1/2,y+1/2,z+1/2'
'-x+1/2,-y+1/2,-z+1/2'
'-y+3/4,x+1/4,z+3/4'
'y+3/4,-x+1/4,-z+3/4'
'-x,-y+1/2,z'
'x,y+1/2,-z'
'y+3/4,-x+3/4,z+1/4'
'-y+3/4,x+3/4,-z+1/4'
'x+1/2,-y+1/2,-z'
'-x+1/2,y+1/2,z'
'-y+3/4,-x+3/4,-z+3/4'
'y+3/4,x+3/4,z+3/4'
'-x,y+1/2,-z+1/2'
'x,-y+1/2,z+1/2'
'y+3/4,x+1/4,-z+1/4'
'-y+3/4,-x+1/4,z+1/4'
loop_
_atom_site_label
_atom_site_fract_x
_atom_site_fract_y
_atom_site_fract_z
Be1 0.0732 0.1240 0.3113
Cl1 0.0000 0.2500 0.0058
Cl2 0.0519 0.0461 0.8753
Cl3 0.1604 0.0000 0.2500
```